Simulated XRD peak list of TbPr3P2N6 for λ = 1.5418 Å (Cu Kα), from a cell relaxed with PBE.
Peak positions follow from Bragg's law for the DFT cell and can differ from measured ones.

Most intense lines, 5° ≤ 2θ ≤ 70°, by angle:
| two_theta | I/Imax | (hkl) |
| --- | --- | --- |
| 13.77 | 17 | 0 0 1 |
| 17.76 | 17 | 1 0 0 |
| 22.54 | 19 | 1 0 1 |
| 31.01 | 100 | 1 1 0 |
| 33.13 | 86 | 0 1 2 |
| 46.02 | 47 | 2 0 2 |
| 55.17 | 20 | 3 0 0 |
| 56.53 | 38 | 1 2 2 |
| 60.48 | 17 | 1 0 4 |
| 64.65 | 15 | 2 2 0 |

Structure:
```
data_TbPr3P2N6
_chemical_formula_sum 'Tb1 Pr3 P2 N6'
_space_group_name_H-M_alt 'P -3 m 1'
_space_group_IT_number 164
_space_group_name_Hall '-P 3 2"'
_cell_length_a 5.7669
_cell_length_b 5.7669
_cell_length_c 6.4323
_cell_angle_alpha 90.00
_cell_angle_beta 90.00
_cell_angle_gamma 120.00
loop_
_atom_site_label
_atom_site_type_symbol
_atom_site_fract_x
_atom_site_fract_y
_atom_site_fract_z
Tb1 Tb 0.0000 0.0000 0.0000
Pr1 Pr 0.0000 0.0000 0.5000
Pr2 Pr 0.3333 0.6667 0.1500
P1 P 0.3333 0.6667 0.6694
N1 N 0.1818 0.3637 0.7837
```